Pr5Sc4Sn4: computed XRD peak list (Cu Ka), based on a DFT-relaxed cell (PBE, Alexandria).
Peak positions follow from Bragg's law for the DFT cell and can differ from measured ones.

The 12 most intense peaks (10 to 80 degrees two-theta), sorted by position:
2θ/deg  I/Imax
25.03  33
28.60  58
30.72  42
31.80  100
34.73  48
35.16  30
40.11  36
40.41  17
51.36  23
54.40  17
55.31  16
61.00  25

Structural model:
a b c (Å): 9.4728 9.4728 9.4728
angles (deg): 93.23 93.23 152.55
Atoms (fractional coordinates):
1 Pr 0.0000 0.0000 0.0000
2 Pr 0.2942 0.3730 0.6672
3 Pr 0.3730 0.7058 0.0788
4 Pr 0.6270 0.2942 0.9212
5 Pr 0.7058 0.6270 0.3328
6 Sc 0.0944 0.5828 0.6772
7 Sc 0.4172 0.0944 0.5116
8 Sc 0.5828 0.9056 0.4884
9 Sc 0.9056 0.4172 0.3228
10 Sn 0.0658 0.2482 0.3140
11 Sn 0.2482 0.9342 0.1824
12 Sn 0.7518 0.0658 0.8176
13 Sn 0.9342 0.7518 0.6860